Simulated X-ray diffraction stick pattern
Compound: NaFeS2O2
Radiation: copper Kα
Structure: a DFT-relaxed cell (GGA+U, Alexandria)
Neutral-atom scattering factors, no anomalous dispersion.

The 12 most intense peaks (10 to 80 degrees two-theta), low angle first:
two_theta	intensity
15.8	76
16.2	55
21.0	20
23.1	100
29.7	20
32.4	54
35.5	53
42.2	16
44.1	28
44.2	32
57.0	27
57.4	16

Atomic structure:
```
data_NaFeS2O2
_cell_length_a 6.4316
_cell_length_b 11.1985
_cell_length_c 6.6096
_cell_angle_alpha 90.00
_cell_angle_beta 101.84
_cell_angle_gamma 90.00
_space_group_name_H-M_alt 'C 1 2/c 1'
_space_group_IT_number 15
loop_
_space_group_symop_operation_xyz
'x,y,z'
'-x,-y,-z'
'-x,y,-z+1/2'
'x,-y,z+1/2'
'x+1/2,y+1/2,z'
'-x+1/2,-y+1/2,-z'
'-x+1/2,y+1/2,-z+1/2'
'x+1/2,-y+1/2,z+1/2'
loop_
_atom_site_label
_atom_site_type_symbol
_atom_site_fract_x
_atom_site_fract_y
_atom_site_fract_z
Na1 Na 0.0000 0.0534 0.2500
Fe1 Fe 0.0000 0.4260 0.2500
S1 S 0.2069 0.3518 0.0096
O1 O 0.2402 0.4970 0.9459
```